Starting from DFT lattice parameters and positions (PBE), the XRD peak list of CaPr2PuP4 was computed for a wavelength of 1.5418 Å.

Principal peaks in the range 10° ≤ 2θ ≤ 90°, in order of rising 2θ:
2θ/deg  Rel. int.
13.15  29
26.42  87
26.52  29
30.57  100
30.76  49
43.92  91
51.79  19
51.96  19
52.13  19
54.34  19

Cell and atoms:
```
8
Lattice="7.1208 0.0000 0.0000 0.0000 4.1480 0.0000 -2.3564 0.0000 6.7327" Properties=species:S:1:pos:R:3 pbc="T T T"
Ca 0.0000 0.0000 0.0000
Pr 2.3822 0.0000 3.3663
Pr 3.5604 2.0740 0.0000
Pu -1.1782 2.0740 3.3663
P -0.0538 0.0000 4.9566
P 1.0993 2.0740 1.7477
P 3.6651 2.0740 4.9850
P 4.8182 0.0000 1.7761
```

---

Starting from DFT lattice parameters and positions (PBE), the XRD peak list of Ca2PrThP4 was computed for a wavelength of 1.5418 Å.

Principal peaks in the range 10° ≤ 2θ ≤ 90°, in order of rising 2θ:
2θ/deg  Rel. int.
13.17  55
24.85  37
26.02  46
30.28  100
33.15  17
43.03  37
43.68  36
45.19  18
53.52  19
71.94  16

Cell and atoms:
```
8
Lattice="7.1471 0.0000 0.0000 0.0000 4.2000 0.0000 -2.4798 0.0000 6.8548" Properties=species:S:1:pos:R:3 pbc="T T T"
Ca 0.0000 0.0000 0.0000
Ca -1.2399 2.1000 3.4274
Pr 2.3337 0.0000 3.4274
Th 3.5735 2.1000 0.0000
P 1.2135 2.1000 1.6967
P -0.0299 0.0000 5.1911
P 4.6972 0.0000 1.6637
P 3.4538 2.1000 5.1581
```

---

Starting from DFT lattice parameters and positions (PBE), the XRD peak list of CaPr2UP4 was computed for a wavelength of 1.5418 Å.

Principal peaks in the range 10° ≤ 2θ ≤ 90°, in order of rising 2θ:
2θ/deg  Rel. int.
17.04  21
26.53  77
30.73  100
44.01  73
52.13  39
54.63  25
70.54  16
72.66  33
80.93  25
87.00  13

Cell and atoms:
```
8
Lattice="-2.9091 2.9091 5.8223 2.9091 -2.9091 5.8223 2.9091 2.9091 -5.8223" Properties=species:S:1:pos:R:3 pbc="T T T"
Ca 0.0000 0.0000 0.0000
Pr 0.0000 0.0000 5.8223
Pr 0.0000 2.9091 2.9112
U 2.9091 0.0000 2.9112
P 2.9091 0.0000 0.1942
P 0.0000 0.0000 2.9172
P 2.9091 0.0000 5.6282
P 0.0000 0.0000 8.7275
```

---

Question: Number 2 is which compound?
Answer: Ca2PrThP4